Record 1
Sb6S2O15: theoretical powder diffraction line list (Cu Ka), based on a crystal structure in the Materials Project, relaxed with GGA-PBE.
Intensities are scaled so that the largest is 100.

Atomic structure:
a = 12.4130 Å, b = 19.1679 Å, c = 5.9638 Å
α = 90.00°, β = 90.00°, γ = 90.00°
Space group Ccc2 (No. 37)
Asymmetric unit:
1 Sb 0.0889 0.2082 0.0000
2 Sb 0.1080 0.0653 0.3654
3 Sb 0.1908 0.4338 0.9786
4 S 0.1301 0.3453 0.5379
5 O 0.0000 0.0000 0.2166
6 O 0.0080 0.1641 0.2677
7 O 0.0575 0.2846 0.5930
8 O 0.0725 0.4122 0.5461
9 O 0.1540 0.1032 0.0464
10 O 0.1854 0.3331 0.3219
11 O 0.2158 0.3460 0.7250
12 O 0.2400 0.0011 0.2548

Main lines, sorted by position (2θ = 15–90°):
| 2theta | I/Imax | h k l |
| --- | --- | --- |
| 17.02 | 20 | 2 2 0 |
| 17.13 | 12 | 1 1 1 |
| 22.66 | 16 | 2 2 1 |
| 27.88 | 100 | 2 4 1 |
| 29.77 | 50 | 3 3 1 |
| 29.97 | 15 | 0 0 2 |
| 36.50 | 13 | 5 1 0 |
| 37.52 | 14 | 0 8 0 |
| 47.93 | 13 | 5 1 2 |
| 49.56 | 14 | 5 7 0 |

---

Record 2
PrCu2: theoretical powder diffraction line list (Cu Ka), based on a crystal structure in the Materials Project, relaxed with GGA-PBE.
Intensities are scaled so that the largest is 100.

Atomic structure:
a = 4.3941 Å, b = 7.1898 Å, c = 7.4248 Å
α = 90.00°, β = 90.00°, γ = 90.00°
Space group Imma (No. 74)
Asymmetric unit:
1 Pr 0.0000 0.2500 0.0378
2 Cu 0.0000 0.0505 0.6653

Main lines, sorted by position (2θ = 15–90°):
| 2theta | I/Imax | h k l |
| --- | --- | --- |
| 23.53 | 16 | 1 0 1 |
| 33.98 | 29 | 1 1 2 |
| 34.42 | 100 | 1 2 1 |
| 34.74 | 42 | 0 2 2 |
| 39.51 | 15 | 0 3 1 |
| 41.08 | 32 | 2 0 0 |
| 41.89 | 46 | 1 0 3 |
| 54.86 | 22 | 2 2 2 |
| 67.27 | 22 | 1 3 4 |
| 70.58 | 12 | 3 2 1 |